This entry pairs a crystal structure of Hf9CoRe4 with its theoretical powder diffraction line list. Radiation: λ = 1.5418 Å (Cu Kα). Structure: the GGA-PBE geometry in the Materials Project.
Peak positions follow from Bragg's law for the DFT cell and can differ from measured ones.

Peak list (8 most intense, 2θ = 10–80°, most intense first)
d = 2.339 Å, 38.5 deg, I 1000; d = 2.374 Å, 37.9 deg, I 747; d = 2.248 Å, 40.1 deg, I 468; d = 1.398 Å, 66.9 deg, I 278; d = 1.458 Å, 63.8 deg, I 264; d = 2.641 Å, 33.9 deg, I 255; d = 1.400 Å, 66.8 deg, I 228; d = 2.141 Å, 42.2 deg, I 207

Cell and atoms:
```
Hf9CoRe4
1.0
8.566 0.000 0.000
-4.283 7.418 0.000
0.000 0.000 8.478
Hf Co Re
18 2 8
direct
0.082 0.541 0.250
0.200 0.399 0.558
0.200 0.399 0.942
0.200 0.800 0.558
0.200 0.800 0.942
0.399 0.200 0.058
0.399 0.200 0.442
0.459 0.541 0.250
0.459 0.918 0.250
0.541 0.082 0.750
0.541 0.459 0.750
0.601 0.800 0.558
0.601 0.800 0.942
0.800 0.200 0.058
0.800 0.200 0.442
0.800 0.601 0.058
0.800 0.601 0.442
0.918 0.459 0.750
0.333 0.667 0.750
0.667 0.333 0.250
0.000 0.000 0.000
0.000 0.000 0.500
0.111 0.222 0.250
0.111 0.889 0.250
0.222 0.111 0.750
0.778 0.889 0.250
0.889 0.111 0.750
0.889 0.778 0.750
```



This entry pairs a crystal structure of Hf2CoRe with its theoretical powder diffraction line list. Radiation: λ = 1.5418 Å (Cu Kα). Structure: the GGA-PBE geometry in the Materials Project.
Peak positions follow from Bragg's law for the DFT cell and can differ from measured ones.

Peak list (8 most intense, 2θ = 10–80°, most intense first)
d = 2.281 Å, 39.5 deg, I 1000; d = 1.317 Å, 71.7 deg, I 347; d = 1.613 Å, 57.1 deg, I 171; d = 3.724 Å, 23.9 deg, I 99; d = 1.945 Å, 46.7 deg, I 53; d = 3.225 Å, 27.7 deg, I 39; d = 1.480 Å, 62.8 deg, I 23; d = 1.241 Å, 76.8 deg, I 18

Cell and atoms:
```
Hf2CoRe
1.0
0.000 3.225 3.225
3.225 0.000 3.225
3.225 3.225 0.000
Hf Co Re
2 1 1
direct
0.250 0.250 0.250
0.750 0.750 0.750
0.000 0.000 0.000
0.500 0.500 0.500
```



What is the formula in the first record?
Hf9CoRe4